Entry 1:
TmPa2Ge3: calculated X-ray diffraction stick pattern (copper Kα), based on a cell relaxed with GGA-PBE.

Crystal structure
```
data_TmPa2Ge3
_cell_length_a 6.142
_cell_length_b 15.849
_cell_length_c 6.273
_cell_angle_alpha 90.00
_cell_angle_beta 120.58
_cell_angle_gamma 90.00
_space_group_name_H-M_alt 'P 1 21/c 1'
_space_group_IT_number 14
loop_
_space_group_symop_operation_xyz
'x,y,z'
'-x,-y,-z'
'-x,y+1/2,-z+1/2'
'x,-y+1/2,z+1/2'
loop_
_atom_site_label
_atom_site_fract_x
_atom_site_fract_y
_atom_site_fract_z
_atom_site_occupancy
Tm1 0.248 0.081 0.154 1
Pa1 0.249 0.749 0.660 1
Pa2 0.252 0.082 0.654 1
Ge1 0.245 0.584 0.876 1
Ge2 0.251 0.249 0.871 1
Ge3 0.253 0.583 0.379 1
```

Largest 6 diffraction maxima, low angle first, 2θ from 10° to 90°:
2θ/deg  Rel. int.  (hkl)
23.8  376  1 3 0
33.9  729  2 0 0
37.4  1000  0 3 2
48.7  266  2 6 0
63.0  221  2 3 2
63.1  219  4 3 -2

***

Entry 2:
YPa3Ge4: calculated X-ray diffraction stick pattern (copper Kα), based on a cell relaxed with GGA-PBE.

Crystal structure
```
data_YPa3Ge4
_cell_length_a 7.555
_cell_length_b 7.555
_cell_length_c 3.088
_cell_angle_alpha 90.00
_cell_angle_beta 90.00
_cell_angle_gamma 90.00
_space_group_name_H-M_alt 'P 4/m m m'
_space_group_IT_number 123
_space_group_name_Hall '-P 4 2'
loop_
_atom_site_label
_atom_site_fract_x
_atom_site_fract_y
_atom_site_fract_z
_atom_site_occupancy
Y1 0.000 0.000 0.000 1
Pa1 0.000 0.500 0.000 1
Pa2 0.500 0.500 0.000 1
Ge1 0.252 0.252 0.500 1
```

Largest 6 diffraction maxima, low angle first, 2θ from 10° to 90°:
2θ/deg  Rel. int.  (hkl)
23.6  303  2 0 0
33.6  691  2 2 0
37.6  1000  2 0 1
48.2  261  4 0 0
62.7  455  4 2 1
70.5  243  4 4 0